The following is a simulated X-ray powder pattern of NaVSiO4. It was derived from a PBE+U-relaxed structure, using Cu Kα.
Intensities are scaled so that the largest is 100.

The 6 most intense peaks (2θ from 15° to 90°), by angle:
hkl, d_spacing, Position (°2θ), I/Imax
1 1 0, 4.584, 19.4, 30
2 0 0, 2.717, 33.0, 43
1 1 2, 2.706, 33.1, 100
1 3 0, 2.521, 35.6, 48
2 2 2, 1.892, 48.1, 35
2 4 2, 1.501, 61.8, 22

Structure:
```
data_NaVSiO4
_cell_length_a 5.4338
_cell_length_b 8.5363
_cell_length_c 6.7065
_cell_angle_alpha 90.00
_cell_angle_beta 90.00
_cell_angle_gamma 90.00
_symmetry_space_group_name_H-M 'C m c m'
_symmetry_Int_Tables_number 63
_symmetry_space_group_name_Hall '-C 2c 2'
loop_
_atom_site_label
_atom_site_fract_x
_atom_site_fract_y
_atom_site_fract_z
_atom_site_occupancy
Na1 0.0000 0.1837 0.2500 1
V1 0.0000 0.5000 0.0000 1
Si1 0.0000 0.1614 0.7500 1
O1 0.0000 0.2755 0.5562 1
O2 0.2490 0.0456 0.7500 1
```